For Li5Ir3, a cell relaxed with GGA-PBE gives the calculated powder X-ray diffraction pattern in this record (Cu Kα X-rays).
Intensities are scaled so that the largest is 1000.

a = 5.0532 Å, b = 9.7974 Å, c = 18.1449 Å
α = 90.00°, β = 90.00°, γ = 90.00°
Space group Fmmm (No. 69)
One atom of each set of equivalent atoms:
Li 0.0000 0.1237 0.1387 (multiplicity 16)
Li 0.0000 0.1413 0.3774 (multiplicity 16)
Li 0.2475 0.0000 0.0000 (multiplicity 8)
Ir 0.0000 0.0000 0.2657 (multiplicity 8)
Ir 0.0000 0.2394 0.0000 (multiplicity 8)
Ir 0.2500 0.2500 0.2500 (multiplicity 8)

Top 10 peaks for 2θ = 15–90°, in order of falling intensity:
hkl, Position (°2θ), d_spacing, I (rel.)
0 0 4, 19.57, 4.536, 1000
2 2 2, 41.42, 2.180, 668
2 2 6, 50.63, 1.803, 339
0 4 4, 41.92, 2.155, 326
0 4 0, 36.69, 2.449, 216
0 2 2, 20.61, 4.310, 196
0 0 8, 39.74, 2.268, 166
2 6 2, 69.29, 1.356, 142
0 2 0, 18.11, 4.899, 140
2 2 10, 66.22, 1.411, 125

For PmHo2TmHg4, a cell relaxed with GGA-PBE gives the calculated powder X-ray diffraction pattern in this record (Cu Kα X-rays).
Intensities are scaled so that the largest is 1000.

a = 5.2618 Å, b = 5.2618 Å, c = 25.9214 Å
α = 90.00°, β = 90.00°, γ = 120.00°
Space group R-3m (No. 166, hexagonal axes)
One atom of each set of equivalent atoms:
Pm 0.0000 0.0000 0.0000 (multiplicity 3)
Ho 0.0000 0.0000 0.2490 (multiplicity 6)
Tm 0.0000 0.0000 0.5000 (multiplicity 3)
Hg 0.0000 0.0000 0.1268 (multiplicity 6)
Hg 0.0000 0.0000 0.3775 (multiplicity 6)

Top 10 peaks for 2θ = 15–90°, in order of falling intensity:
hkl, Position (°2θ), d_spacing, I (rel.)
0 1 8, 33.95, 2.641, 1000
1 1 0, 34.08, 2.631, 997
3 0 0, 60.94, 1.520, 567
2 0 8, 48.87, 1.864, 364
1 0 16, 60.67, 1.526, 187
3 1 8, 81.80, 1.177, 168
2 1 16, 81.58, 1.180, 165
2 2 0, 71.75, 1.315, 118
0 2 16, 71.45, 1.320, 116
1 0 4, 23.87, 3.728, 28

For Sc3Rh5, a cell relaxed with GGA-PBE gives the calculated powder X-ray diffraction pattern in this record (Cu Kα X-rays).
Intensities are scaled so that the largest is 1000.

a = 7.1073 Å, b = 8.4513 Å, c = 4.2643 Å
α = 90.00°, β = 90.00°, γ = 90.00°
Space group Cmmm (No. 65)
One atom of each set of equivalent atoms:
Sc 0.0000 0.0000 0.0000 (multiplicity 2)
Sc 0.0000 0.2860 0.5000 (multiplicity 4)
Rh 0.0000 0.5000 0.0000 (multiplicity 2)
Rh 0.2200 0.0000 0.5000 (multiplicity 4)
Rh 0.2500 0.2500 0.0000 (multiplicity 4)

Top 10 peaks for 2θ = 15–90°, in order of falling intensity:
hkl, Position (°2θ), d_spacing, I (rel.)
2 2 1, 39.29, 2.293, 1000
0 0 2, 42.39, 2.132, 215
0 4 0, 42.80, 2.113, 189
2 2 3, 75.46, 1.260, 137
0 4 2, 61.82, 1.501, 122
2 6 1, 76.03, 1.252, 111
4 0 0, 51.43, 1.777, 100
0 2 1, 29.77, 3.002, 96
4 4 2, 84.50, 1.147, 91
4 0 2, 68.77, 1.365, 81

For TbSc3As4, a cell relaxed with GGA-PBE gives the calculated powder X-ray diffraction pattern in this record (Cu Kα X-rays).
Intensities are scaled so that the largest is 1000.

a = 7.8928 Å, b = 11.1671 Å, c = 3.9547 Å
α = 90.00°, β = 90.00°, γ = 90.00°
Space group Cmmm (No. 65)
One atom of each set of equivalent atoms:
Tb 0.0000 0.0000 0.0000 (multiplicity 2)
Sc 0.0000 0.5000 0.0000 (multiplicity 2)
Sc 0.2500 0.2500 0.5000 (multiplicity 4)
As 0.0000 0.2556 0.0000 (multiplicity 4)
As 0.2388 0.5000 0.5000 (multiplicity 4)

Top 10 peaks for 2θ = 15–90°, in order of falling intensity:
hkl, Position (°2θ), d_spacing, I (rel.)
2 0 1, 32.05, 2.793, 1000
0 0 2, 45.95, 1.975, 595
0 4 2, 57.12, 1.612, 243
2 0 3, 76.19, 1.250, 152
2 8 1, 76.26, 1.249, 149
1 3 0, 26.45, 3.369, 123
4 0 0, 46.00, 1.973, 117
2 4 3, 85.02, 1.141, 116
4 8 0, 85.15, 1.140, 112
4 0 2, 67.02, 1.396, 110

For Ce2BrNCl, a cell relaxed with GGA-PBE gives the calculated powder X-ray diffraction pattern in this record (Cu Kα X-rays).
Intensities are scaled so that the largest is 1000.

a = 3.9419 Å, b = 3.9419 Å, c = 10.4664 Å
α = 90.00°, β = 90.00°, γ = 120.00°
Space group P3m1 (No. 156)
One atom of each set of equivalent atoms:
Ce 0.0000 0.0000 0.0000 (multiplicity 1)
Ce 0.3333 0.6667 0.2887 (multiplicity 1)
Br 0.6667 0.3333 0.4809 (multiplicity 1)
N 0.0000 0.0000 0.2104 (multiplicity 1)
Cl 0.3333 0.6667 0.8328 (multiplicity 1)

Top 10 peaks for 2θ = 15–90°, in order of falling intensity:
hkl, Position (°2θ), d_spacing, I (rel.)
0 1 2, 31.28, 2.859, 1000
0 1 1, 27.48, 3.246, 962
1 0 3, 36.84, 2.440, 430
1 1 0, 46.05, 1.971, 400
0 1 5, 51.19, 1.785, 226
1 1 4, 58.64, 1.574, 207
0 1 4, 43.58, 2.077, 202
2 0 2, 56.73, 1.623, 181
0 0 2, 16.94, 5.233, 174
0 0 4, 34.27, 2.617, 164

For Ac2AlAuSe5, a cell relaxed with GGA-PBE gives the calculated powder X-ray diffraction pattern in this record (Cu Kα X-rays).
Intensities are scaled so that the largest is 1000.

a = 4.3436 Å, b = 18.6279 Å, c = 12.0291 Å
α = 90.00°, β = 90.00°, γ = 90.00°
Space group Cmc2_1 (No. 36)
One atom of each set of equivalent atoms:
Ac 0.0000 0.1155 0.0000 (multiplicity 4)
Ac 0.0000 0.1180 0.6160 (multiplicity 4)
Al 0.0000 0.4091 0.7832 (multiplicity 4)
Au 0.0000 0.2494 0.4099 (multiplicity 4)
Se 0.0000 0.0404 0.3617 (multiplicity 4)
Se 0.0000 0.3075 0.6536 (multiplicity 4)
Se 0.0000 0.3200 0.9514 (multiplicity 4)
Se 0.0000 0.3684 0.3082 (multiplicity 4)
Se 0.0000 0.4914 0.6081 (multiplicity 4)

Top 10 peaks for 2θ = 15–90°, in order of falling intensity:
hkl, Position (°2θ), d_spacing, I (rel.)
1 1 3, 30.72, 2.910, 1000
1 5 2, 35.06, 2.559, 854
2 0 0, 41.58, 2.172, 726
1 3 3, 33.67, 2.662, 714
1 3 2, 29.15, 3.063, 690
0 4 2, 24.17, 3.683, 674
1 5 0, 31.64, 2.828, 613
1 5 1, 32.51, 2.754, 568
0 8 0, 38.66, 2.329, 563
1 5 3, 38.97, 2.311, 517

For Y2Tm4Th3, a cell relaxed with GGA-PBE gives the calculated powder X-ray diffraction pattern in this record (Cu Kα X-rays).
Intensities are scaled so that the largest is 1000.

a = 3.5478 Å, b = 3.5478 Å, c = 26.2312 Å
α = 90.00°, β = 90.00°, γ = 120.00°
Space group P3m1 (No. 156)
One atom of each set of equivalent atoms:
Y 0.0000 0.0000 0.0000 (multiplicity 1)
Y 0.0000 0.0000 0.2219 (multiplicity 1)
Tm 0.0000 0.0000 0.3479 (multiplicity 1)
Tm 0.0000 0.0000 0.5666 (multiplicity 1)
Tm 0.3333 0.6667 0.6721 (multiplicity 1)
Tm 0.3333 0.6667 0.8920 (multiplicity 1)
Th 0.0000 0.0000 0.7823 (multiplicity 1)
Th 0.3333 0.6667 0.1134 (multiplicity 1)
Th 0.3333 0.6667 0.4548 (multiplicity 1)

Top 10 peaks for 2θ = 15–90°, in order of falling intensity:
hkl, Position (°2θ), d_spacing, I (rel.)
1 0 5, 33.81, 2.651, 1000
0 1 4, 32.17, 2.782, 695
0 0 9, 30.68, 2.915, 469
1 0 0, 29.06, 3.072, 434
1 1 9, 61.16, 1.515, 402
1 1 0, 51.52, 1.774, 359
1 0 14, 57.62, 1.600, 299
1 0 9, 42.76, 2.115, 291
0 2 5, 63.05, 1.474, 169
2 1 5, 85.67, 1.134, 149

For Tm3TlO6, a cell relaxed with GGA-PBE gives the calculated powder X-ray diffraction pattern in this record (Cu Kα X-rays).
Intensities are scaled so that the largest is 1000.

a = 8.8096 Å, b = 11.0909 Å, c = 5.5911 Å
α = 90.00°, β = 90.00°, γ = 90.00°
Space group Cmc2_1 (No. 36)
One atom of each set of equivalent atoms:
Tm 0.0000 0.0985 0.0000 (multiplicity 4)
Tm 0.1973 0.3942 0.0564 (multiplicity 8)
Tl 0.0000 0.3185 0.5638 (multiplicity 4)
O 0.0000 0.2804 0.1953 (multiplicity 4)
O 0.0000 0.4786 0.8069 (multiplicity 4)
O 0.1606 0.0209 0.2760 (multiplicity 8)
O 0.1708 0.2300 0.7933 (multiplicity 8)

Top 10 peaks for 2θ = 15–90°, in order of falling intensity:
hkl, Position (°2θ), d_spacing, I (rel.)
2 2 1, 30.45, 2.935, 1000
1 3 1, 30.72, 2.911, 292
0 0 2, 32.02, 2.796, 239
3 5 0, 51.64, 1.770, 171
2 2 3, 56.09, 1.640, 151
3 1 1, 35.46, 2.531, 137
0 4 2, 46.11, 1.969, 133
3 5 2, 62.06, 1.495, 122
5 3 1, 60.52, 1.530, 121
3 1 2, 45.54, 1.992, 104

For TbY4Os2, a cell relaxed with GGA-PBE gives the calculated powder X-ray diffraction pattern in this record (Cu Kα X-rays).
Intensities are scaled so that the largest is 1000.

a = 7.8289 Å, b = 6.3184 Å, c = 7.9664 Å
α = 90.00°, β = 112.36°, γ = 90.00°
Space group P2_1/m (No. 11)
One atom of each set of equivalent atoms:
Tb 0.0278 0.2500 0.1606 (multiplicity 2)
Y 0.2395 0.5011 0.5817 (multiplicity 4)
Y 0.3254 0.7500 0.2500 (multiplicity 2)
Y 0.3796 0.2500 0.0205 (multiplicity 2)
Os 0.0248 0.2500 0.7454 (multiplicity 2)
Os 0.4130 0.2500 0.3753 (multiplicity 2)

Top 10 peaks for 2θ = 15–90°, in order of falling intensity:
hkl, Position (°2θ), d_spacing, I (rel.)
2 0 1, 31.42, 2.847, 1000
0 2 0, 28.25, 3.159, 831
2 2 0, 37.80, 2.380, 810
1 2 -2, 36.43, 2.466, 727
2 1 -2, 30.74, 2.909, 625
1 1 2, 34.31, 2.614, 551
2 1 -3, 38.36, 2.347, 538
0 1 3, 39.36, 2.289, 524
3 1 0, 39.99, 2.254, 440
3 0 -2, 35.90, 2.502, 430

For AlNi7, a cell relaxed with GGA-PBE gives the calculated powder X-ray diffraction pattern in this record (Cu Kα X-rays).
Intensities are scaled so that the largest is 1000.

a = 3.5430 Å, b = 3.5430 Å, c = 14.1233 Å
α = 90.00°, β = 90.00°, γ = 90.00°
Space group I4/mmm (No. 139)
One atom of each set of equivalent atoms:
Al 0.0000 0.0000 0.0000 (multiplicity 2)
Ni 0.0000 0.0000 0.2513 (multiplicity 4)
Ni 0.0000 0.0000 0.5000 (multiplicity 2)
Ni 0.0000 0.5000 0.1268 (multiplicity 8)

Top 10 peaks for 2θ = 15–90°, in order of falling intensity:
hkl, Position (°2θ), d_spacing, I (rel.)
1 1 4, 44.33, 2.043, 1000
2 0 0, 51.59, 1.772, 312
2 0 8, 76.12, 1.250, 178
0 0 8, 51.78, 1.765, 153
2 2 0, 75.97, 1.253, 90
1 0 1, 25.93, 3.437, 29
1 0 3, 31.61, 2.831, 14
1 1 6, 53.37, 1.717, 12
1 0 5, 40.86, 2.209, 10
0 0 4, 25.22, 3.531, 7